For Y3BO6, a cell relaxed with GGA-PBE gives the calculated PXRD pattern in this record (Cu Kα).
No peak broadening, texture or thermal motion is included.

Atomic structure:
```
Y3BO6
1.0
4.395 -5.515 0.000
4.395 5.515 0.000
0.000 0.000 5.172
Y B O
6 2 12
direct
0.105 0.895 0.500
0.200 0.418 0.547
0.418 0.200 0.047
0.582 0.800 0.547
0.800 0.582 0.047
0.895 0.105 0.000
0.306 0.694 0.099
0.694 0.306 0.599
0.107 0.617 0.223
0.147 0.175 0.277
0.175 0.147 0.777
0.296 0.704 0.808
0.383 0.893 0.223
0.436 0.564 0.204
0.564 0.436 0.704
0.617 0.107 0.723
0.704 0.296 0.308
0.825 0.853 0.277
0.853 0.825 0.777
0.893 0.383 0.723
```

The 8 most intense peaks (2θ = 10–80°), low angle first:
2θ = 21.5°, rel. 29
2θ = 23.6°, rel. 14
2θ = 31.2°, rel. 100
2θ = 31.6°, rel. 57
2θ = 47.6°, rel. 30
2θ = 48.2°, rel. 23
2θ = 51.9°, rel. 19
2θ = 61.1°, rel. 14